Structure and theoretical powder diffractogram of CsUVO6 (the GGA+U geometry in Alexandria; Cu Kα).
Kinematic intensities with the Lorentz-polarization factor, no thermal factor.

The 8 most intense peaks (2θ = 10–80°), low angle first:
two_theta, Rel. int.
12.0, 49
21.1, 15
24.2, 100
25.8, 25
27.8, 31
27.9, 23
28.1, 20
42.5, 21

Structural model:
```
36
Lattice="7.6369 0.0000 0.0000 0.0000 8.4976 0.0000 -2.7779 0.0000 10.2690" Properties=species:S:1:pos:R:3 pbc="T T T"
Cs -0.7693 1.9910 3.7483
Cs -2.1583 2.2579 8.8828
Cs 7.0173 6.2398 1.3862
Cs 5.6283 6.5067 6.5207
U 3.2387 0.1670 1.8439
U 1.8497 4.0819 6.9784
U 3.0093 4.4158 3.2906
U 1.6203 8.3307 8.4250
V 0.4181 5.4976 9.6853
V 1.8070 7.2489 4.5508
V 3.0520 1.2488 5.7181
V 4.4409 3.0000 0.5836
O -1.2173 5.3600 9.5351
O 0.1717 7.3864 4.4006
O 1.5263 0.5253 1.2807
O 0.1374 3.7235 6.4152
O -0.0852 0.1959 7.8533
O 1.3038 4.0530 2.7188
O 1.0926 6.0360 8.0475
O 2.4816 6.7104 2.9130
O 2.1628 5.5653 5.1844
O 3.5518 7.1811 0.0499
O 2.5022 0.5021 4.0352
O 1.1132 3.7467 9.1697
O 3.7458 4.7510 1.0993
O 2.3568 7.9955 6.2337
O 1.3072 1.3165 10.2191
O 2.6962 2.9323 5.0846
O 2.3774 1.7872 7.3559
O 3.7664 2.4616 2.2214
O 3.5552 4.4447 7.5502
O 4.9442 8.3018 2.4157
O 4.7216 4.7742 3.8537
O 3.3327 7.9723 8.9882
O 4.6873 1.1112 5.8684
O 6.0763 3.1376 0.7339
```